Calculated powder diffraction line list
Compound: AcCdHgPd
Radiation: Cu Kα (weighted mean of Kα1 and Kα2)
Structure: a cell relaxed with GGA-PBE

Crystal structure
Cell: 8.4578 4.8936 5.7961 Å, 90.00 119.29 90.00°
Space group Cm (No. 8)
One atom of each set of equivalent atoms:
1 Ac 0.0000 0.0000 0.0000 x2
2 Cd 0.0261 0.5000 0.5795 x2
3 Hg 0.2821 0.5000 0.3468 x2
4 Pd 0.2082 0.0000 0.6265 x2

Principal peaks in the range 15 to 90 degrees two-theta, in order of rising 2θ:
Position (°2θ)  I_rel  index
21.80  37  1 1 0
31.68  96  2 0 -2
36.41  33  1 1 -2
36.51  16  2 0 1
36.77  100  0 2 0
49.25  19  2 2 -2
52.74  18  2 2 1
63.03  18  5 1 -3
66.17  19  3 3 -1
67.46  14  3 1 -4